[1]
Computed X-ray powder pattern
Compound: Sm3Mg11
Radiation: Cu Kα (λ = 1.5418 Å)
Structure: a GGA-PBE-relaxed structure
Kinematic intensities with the Lorentz-polarization factor, no thermal factor.

Principal peaks in the range 10° ≤ 2θ ≤ 90°, most intense first:
d/Å, 2θ/deg, I/Imax, (hkl)
4.538, 19.56, 100, 1 1 0
2.858, 31.30, 96, 1 2 3
2.808, 31.87, 82, 1 1 4
2.793, 32.05, 64, 1 3 0
5.011, 17.70, 55, 0 2 0
2.910, 30.72, 51, 0 2 4
2.545, 35.27, 48, 2 0 0
1.512, 61.30, 45, 1 4 7
3.479, 25.60, 39, 1 0 3
4.304, 20.64, 37, 0 1 3

Cell and atoms:
```
data_Sm3Mg11
_cell_length_a 5.090
_cell_length_b 10.021
_cell_length_c 14.299
_cell_angle_alpha 90.00
_cell_angle_beta 90.00
_cell_angle_gamma 90.00
_symmetry_space_group_name_H-M 'I m m m'
_symmetry_Int_Tables_number 71
_symmetry_space_group_name_Hall '-I 2 2'
loop_
_atom_site_label
_atom_site_type_symbol
_atom_site_fract_x
_atom_site_fract_y
_atom_site_fract_z
Sm1 Sm 0.000 0.000 0.000
Sm2 Sm 0.000 0.000 0.284
Mg1 Mg 0.000 0.161 0.500
Mg2 Mg 0.000 0.287 0.142
Mg3 Mg 0.000 0.359 0.349
Mg4 Mg 0.000 0.500 0.000
```

=====

[2]
Computed X-ray powder pattern
Compound: Sm2Mg
Radiation: Cu Kα (λ = 1.5418 Å)
Structure: a GGA-PBE-relaxed structure
Kinematic intensities with the Lorentz-polarization factor, no thermal factor.

Principal peaks in the range 10° ≤ 2θ ≤ 90°, most intense first:
d/Å, 2θ/deg, I/Imax, (hkl)
2.829, 31.63, 100, 1 0 3
2.661, 33.68, 48, 1 1 0
1.567, 58.96, 34, 2 1 3
1.882, 48.38, 17, 2 0 0
1.669, 55.00, 17, 1 1 6
3.763, 23.64, 17, 1 0 0
3.248, 27.46, 17, 1 0 2
3.612, 24.65, 14, 1 0 1
1.651, 55.65, 10, 1 0 7
2.050, 44.17, 10, 1 1 4

Cell and atoms:
```
data_Sm2Mg
_cell_length_a 3.763
_cell_length_b 3.763
_cell_length_c 12.865
_cell_angle_alpha 90.00
_cell_angle_beta 90.00
_cell_angle_gamma 90.00
_symmetry_space_group_name_H-M 'P 4/m m m'
_symmetry_Int_Tables_number 123
_symmetry_space_group_name_Hall '-P 4 2'
loop_
_atom_site_label
_atom_site_type_symbol
_atom_site_fract_x
_atom_site_fract_y
_atom_site_fract_z
Sm1 Sm 0.000 0.000 0.000
Sm2 Sm 0.000 0.000 0.306
Sm3 Sm 0.500 0.500 0.500
Mg1 Mg 0.500 0.500 0.152
```